Computed powder diffraction line list
Compound: Nd4V5Si4O22
Radiation: Cu Kα
Structure: a GGA+U-relaxed structure

Most intense lines, 10 to 90 degrees two-theta, in order of falling intensity:
two_theta	Rel. int.
27.84	100
28.25	75
32.84	67
45.95	67
32.67	66
19.29	65
31.39	62
28.79	54
18.25	54
16.17	48

```
data_Nd4V5Si4O22
_chemical_formula_sum 'Nd8 V10 Si8 O44'
_space_group_name_H-M_alt 'C 1 2/m 1'
_space_group_IT_number 12
_cell_length_a 13.518
_cell_length_b 5.699
_cell_length_c 11.144
_cell_angle_alpha 90.00
_cell_angle_beta 100.33
_cell_angle_gamma 90.00
loop_
_space_group_symop_operation_xyz
'x,y,z'
'-x,-y,-z'
'-x,y,-z'
'x,-y,z'
'x+1/2,y+1/2,z'
'-x+1/2,-y+1/2,-z'
'-x+1/2,y+1/2,-z'
'x+1/2,-y+1/2,z'
loop_
_atom_site_label
_atom_site_fract_x
_atom_site_fract_y
_atom_site_fract_z
Nd1 0.073 0.000 0.250
Nd2 0.144 0.500 0.755
V1 0.000 0.000 0.500
V2 0.000 0.500 0.000
V3 0.000 0.500 0.500
V4 0.250 0.250 0.500
Si1 0.139 0.000 0.958
Si2 0.203 0.500 0.229
O1 0.023 0.242 0.631
O2 0.071 0.236 0.911
O3 0.086 0.500 0.165
O4 0.143 0.000 0.476
O5 0.150 0.500 0.519
O6 0.185 0.000 0.101
O7 0.225 0.000 0.872
O8 0.227 0.262 0.311
```